(1)
# Ce2Er6Tm5
Simulated powder diffractogram, Cu Kα (weighted mean of Kα1 and Kα2). Input: a PBE-relaxed structure.
Kinematic intensities with the Lorentz-polarization factor, no thermal factor.

Unit cell a=11.4339 b=20.0116 c=3.5204 alpha=90.00 beta=90.00 gamma=90.00
Space group Pbam (No. 55)
Asymmetric unit:
Ce (0.1751, 0.2241, 0.0000)
Er (0.0667, 0.9280, 0.0000)
Er (0.0745, 0.6402, 0.0000)
Er (0.1811, 0.3745, 0.5000)
Tm (0.0000, 0.5000, 0.5000)
Tm (0.0850, 0.7838, 0.5000)
Tm (0.1977, 0.0623, 0.5000)

Top 10 peaks for 2θ = 15–90°, in order of rising 2θ:
hkl 1 3 1, 29.8 deg, I = 28; hkl 4 1 0, 31.6 deg, I = 66; hkl 1 4 1, 32.1 deg, I = 48; hkl 1 7 0, 32.3 deg, I = 71; hkl 2 3 1, 32.8 deg, I = 100; hkl 2 4 1, 34.9 deg, I = 46; hkl 3 6 0, 35.8 deg, I = 31; hkl 3 3 1, 37.3 deg, I = 25; hkl 1 10 1, 53.3 deg, I = 24; hkl 1 7 2, 62.5 deg, I = 26

(2)
# Tl2Cd2InHg6
Simulated powder diffractogram, Cu Kα (weighted mean of Kα1 and Kα2). Input: a PBE-relaxed structure.
Kinematic intensities with the Lorentz-polarization factor, no thermal factor.

Unit cell a=12.6307 b=6.1731 c=8.3093 alpha=90.00 beta=109.68 gamma=90.00
Space group C2/m (No. 12)
Asymmetric unit:
Tl (0.1965, 0.0000, 0.3055)
Cd (0.0652, 0.5000, 0.3883)
In (0.0000, 0.0000, 0.5000)
Hg (0.0936, 0.2499, 0.9137)
Hg (0.2460, 0.0000, 0.7464)

Top 10 peaks for 2θ = 15–90°, in order of rising 2θ:
hkl 4 0 -1, 28.3 deg, I = 41; hkl 3 1 -2, 29.9 deg, I = 31; hkl 0 2 1, 31.1 deg, I = 100; hkl 2 0 2, 31.3 deg, I = 95; hkl 2 0 -3, 32.5 deg, I = 26; hkl 2 2 0, 32.7 deg, I = 26; hkl 2 2 1, 36.4 deg, I = 42; hkl 2 2 -2, 37.1 deg, I = 61; hkl 3 1 -3, 37.3 deg, I = 29; hkl 4 2 0, 42.2 deg, I = 33

(3)
# La4Mg3Sn
Simulated powder diffractogram, Cu Kα (weighted mean of Kα1 and Kα2). Input: a PBE-relaxed structure.
Kinematic intensities with the Lorentz-polarization factor, no thermal factor.

Unit cell a=5.5854 b=5.5854 c=27.4411 alpha=90.00 beta=90.00 gamma=120.00
Space group R-3m (No. 166, hexagonal axes)
Asymmetric unit:
La (0.0000, 0.0000, 0.1235)
La (0.0000, 0.0000, 0.3737)
Mg (0.0000, 0.0000, 0.2456)
Mg (0.0000, 0.0000, 0.5000)
Sn (0.0000, 0.0000, 0.0000)

Top 10 peaks for 2θ = 15–90°, in order of rising 2θ:
hkl 1 0 4, 22.5 deg, I = 27; hkl 1 1 0, 32.0 deg, I = 100; hkl 0 2 4, 39.5 deg, I = 6; hkl 2 0 8, 45.9 deg, I = 18; hkl 2 1 4, 51.7 deg, I = 11; hkl 1 0 16, 57.0 deg, I = 9; hkl 3 0 0, 57.1 deg, I = 29; hkl 2 2 0, 67.0 deg, I = 6; hkl 2 1 16, 76.1 deg, I = 8; hkl 3 1 8, 76.2 deg, I = 8

(4)
# Li2TbEr2Sb2
Simulated powder diffractogram, Cu Kα (weighted mean of Kα1 and Kα2). Input: a PBE-relaxed structure.
Kinematic intensities with the Lorentz-polarization factor, no thermal factor.

Unit cell a=4.7330 b=4.7330 c=26.1259 alpha=90.00 beta=90.00 gamma=120.00
Space group R-3m (No. 166, hexagonal axes)
Asymmetric unit:
Li (0.0000, 0.0000, 0.0925)
Tb (0.0000, 0.0000, 0.5000)
Er (0.0000, 0.0000, 0.3693)
Sb (0.0000, 0.0000, 0.2361)

Top 10 peaks for 2θ = 15–90°, in order of rising 2θ:
hkl 1 0 1, 21.9 deg, I = 93; hkl 1 0 7, 32.4 deg, I = 96; hkl 0 1 8, 35.1 deg, I = 99; hkl 1 1 0, 38.0 deg, I = 100; hkl 0 2 7, 50.8 deg, I = 27; hkl 2 0 8, 52.7 deg, I = 31; hkl 2 1 7, 65.2 deg, I = 26; hkl 1 1 15, 66.7 deg, I = 36; hkl 1 2 8, 66.8 deg, I = 30; hkl 3 0 0, 68.7 deg, I = 18